# 1
Theoretical powder diffractogram of La7SmY3 for Cu Ka, from a DFT-relaxed cell (GGA-PBE, Alexandria).

Main lines, by angle (10° ≤ 2θ ≤ 80°):
| hkl | two_theta | Rel. int. |
| --- | --- | --- |
| 2 0 1 | 30.02 | 100 |
| 0 0 3 | 30.70 | 29 |
| 0 2 2 | 35.01 | 63 |
| 2 2 0 | 49.89 | 23 |
| 2 0 4 | 50.79 | 22 |
| 2 2 3 | 59.73 | 25 |

Crystal structure
```
data_La7SmY3
_cell_length_a 7.3112
_cell_length_b 7.3112
_cell_length_c 8.7356
_cell_angle_alpha 90.00
_cell_angle_beta 90.00
_cell_angle_gamma 120.00
_symmetry_space_group_name_H-M 'P 3 m 1'
_symmetry_Int_Tables_number 156
_symmetry_space_group_name_Hall 'P 3 -2"'
loop_
_atom_site_label
_atom_site_type_symbol
_atom_site_fract_x
_atom_site_fract_y
_atom_site_fract_z
_atom_site_occupancy
La1 La 0.0000 0.0000 0.0000 1
La2 La 0.0035 0.5018 0.0298 1
La3 La 0.1686 0.3372 0.6703 1
Sm1 Sm 0.6667 0.3333 0.6939 1
Y1 Y 0.3340 0.1670 0.3504 1
```

---

# 2
Theoretical powder diffractogram of Tb2Ga4Ni3 for Cu Ka, from a DFT-relaxed cell (GGA-PBE, Alexandria).

Main lines, by angle (10° ≤ 2θ ≤ 80°):
| hkl | two_theta | Rel. int. |
| --- | --- | --- |
| 2 0 0 | 34.41 | 33 |
| 1 3 1 | 34.52 | 59 |
| 1 3 3 | 40.21 | 100 |
| 1 1 5 | 41.06 | 26 |
| 2 0 4 | 45.22 | 33 |
| 3 3 3 | 65.56 | 23 |

Crystal structure
```
data_Tb2Ga4Ni3
_cell_length_a 5.2126
_cell_length_b 9.2600
_cell_length_c 12.5589
_cell_angle_alpha 90.00
_cell_angle_beta 90.00
_cell_angle_gamma 90.00
_symmetry_space_group_name_H-M 'F m m m'
_symmetry_Int_Tables_number 69
_symmetry_space_group_name_Hall '-F 2 2'
loop_
_atom_site_label
_atom_site_type_symbol
_atom_site_fract_x
_atom_site_fract_y
_atom_site_fract_z
_atom_site_occupancy
Tb1 Tb 0.0000 0.0000 0.1279 1
Ga1 Ga 0.0000 0.1715 0.3406 1
Ni1 Ni 0.0000 0.0000 0.5000 1
Ni2 Ni 0.2500 0.2500 0.0000 1
```

---

# 3
Theoretical powder diffractogram of Tb2V2Ni15 for Cu Ka, from a DFT-relaxed cell (GGA-PBE, Alexandria).

Main lines, by angle (10° ≤ 2θ ≤ 80°):
| hkl | two_theta | Rel. int. |
| --- | --- | --- |
| 1 1 3 | 30.74 | 36 |
| 3 0 0 | 37.59 | 35 |
| 0 2 4 | 38.65 | 21 |
| 2 2 0 | 43.68 | 51 |
| 3 0 3 | 43.85 | 100 |
| 0 0 6 | 44.38 | 31 |

Crystal structure
```
data_Tb2V2Ni15
_cell_length_a 8.2900
_cell_length_b 8.2900
_cell_length_c 12.2485
_cell_angle_alpha 90.00
_cell_angle_beta 90.00
_cell_angle_gamma 120.00
_symmetry_space_group_name_H-M 'R -3 m'
_symmetry_Int_Tables_number 166
_symmetry_space_group_name_Hall '-R 3 2"'
loop_
_atom_site_label
_atom_site_type_symbol
_atom_site_fract_x
_atom_site_fract_y
_atom_site_fract_z
_atom_site_occupancy
Tb1 Tb 0.0000 0.0000 0.1565 1
V1 V 0.0000 0.0000 0.4097 1
Ni1 Ni 0.0000 0.2986 0.5000 1
Ni2 Ni 0.0000 0.5000 0.0000 1
Ni3 Ni 0.0027 0.5013 0.3437 1
```

---

# 4
Theoretical powder diffractogram of Pm4TlIr2 for Cu Ka, from a DFT-relaxed cell (GGA-PBE, Alexandria).

Main lines, by angle (10° ≤ 2θ ≤ 80°):
| hkl | two_theta | Rel. int. |
| --- | --- | --- |
| 1 0 1 | 23.94 | 24 |
| 0 1 5 | 26.51 | 23 |
| 1 0 10 | 33.38 | 100 |
| 1 1 0 | 41.91 | 57 |
| 0 2 10 | 54.60 | 25 |
| 2 1 10 | 71.12 | 23 |

Crystal structure
```
data_Pm4TlIr2
_cell_length_a 4.3114
_cell_length_b 4.3114
_cell_length_c 38.6277
_cell_angle_alpha 90.00
_cell_angle_beta 90.00
_cell_angle_gamma 120.00
_symmetry_space_group_name_H-M 'R -3 m'
_symmetry_Int_Tables_number 166
_symmetry_space_group_name_Hall '-R 3 2"'
loop_
_atom_site_label
_atom_site_type_symbol
_atom_site_fract_x
_atom_site_fract_y
_atom_site_fract_z
_atom_site_occupancy
Pm1 Pm 0.0000 0.0000 0.1070 1
Pm2 Pm 0.0000 0.0000 0.2982 1
Tl1 Tl 0.0000 0.0000 0.5000 1
Ir1 Ir 0.0000 0.0000 0.4030 1
```

---

# 5
Theoretical powder diffractogram of CaPa2PtN4 for Cu Ka, from a DFT-relaxed cell (GGA-PBE, Alexandria).

Main lines, by angle (10° ≤ 2θ ≤ 80°):
| hkl | two_theta | Rel. int. |
| --- | --- | --- |
| 0 2 1 | 16.68 | 44 |
| 0 2 3 | 27.27 | 78 |
| 0 4 2 | 33.73 | 47 |
| 1 3 1 | 34.03 | 65 |
| 1 1 3 | 34.25 | 100 |
| 1 3 5 | 51.57 | 46 |

Crystal structure
```
data_CaPa2PtN4
_cell_length_a 3.6886
_cell_length_b 11.9232
_cell_length_c 11.7357
_cell_angle_alpha 90.00
_cell_angle_beta 90.00
_cell_angle_gamma 90.00
_symmetry_space_group_name_H-M 'C m c m'
_symmetry_Int_Tables_number 63
_symmetry_space_group_name_Hall '-C 2c 2'
loop_
_atom_site_label
_atom_site_type_symbol
_atom_site_fract_x
_atom_site_fract_y
_atom_site_fract_z
_atom_site_occupancy
Ca1 Ca 0.0000 0.0632 0.2500 1
Pa1 Pa 0.0000 0.3659 0.0689 1
Pt1 Pt 0.0000 0.2429 0.7500 1
N1 N 0.0000 0.0000 0.0000 1
N2 N 0.0000 0.2497 0.5802 1
N3 N 0.0000 0.4365 0.2500 1
```

---

# 6
Theoretical powder diffractogram of LiV2Se4 for Cu Ka, from a DFT-relaxed cell (GGA-PBE, Alexandria).

Main lines, by angle (10° ≤ 2θ ≤ 80°):
| hkl | two_theta | Rel. int. |
| --- | --- | --- |
| 0 0 3 | 14.63 | 38 |
| 2 0 2 | 29.51 | 57 |
| 0 2 4 | 34.20 | 100 |
| 2 0 8 | 49.09 | 29 |
| 2 2 0 | 49.21 | 35 |
| 0 4 2 | 58.41 | 16 |

Crystal structure
```
data_LiV2Se4
_cell_length_a 7.4064
_cell_length_b 7.4064
_cell_length_c 18.2036
_cell_angle_alpha 90.00
_cell_angle_beta 90.00
_cell_angle_gamma 120.00
_symmetry_space_group_name_H-M 'R 3 m'
_symmetry_Int_Tables_number 160
_symmetry_space_group_name_Hall 'R 3 -2"'
loop_
_atom_site_label
_atom_site_type_symbol
_atom_site_fract_x
_atom_site_fract_y
_atom_site_fract_z
_atom_site_occupancy
Li1 Li 0.0000 0.0000 0.0000 1
Li2 Li 0.0000 0.0000 0.2441 1
V1 V 0.0000 0.0000 0.5795 1
V2 V 0.1811 0.3621 0.4416 1
Se1 Se 0.0000 0.0000 0.3754 1
Se2 Se 0.0000 0.0000 0.8610 1
Se3 Se 0.9998 0.4999 0.8443 1
Se4 Se 0.0433 0.5217 0.3498 1
```

---

# 7
Theoretical powder diffractogram of La2Ge4IrPd3 for Cu Ka, from a DFT-relaxed cell (GGA-PBE, Alexandria).

Main lines, by angle (10° ≤ 2θ ≤ 80°):
| hkl | two_theta | Rel. int. |
| --- | --- | --- |
| 1 0 3 | 33.56 | 82 |
| 1 1 2 | 33.76 | 100 |
| 2 0 0 | 40.82 | 83 |
| 1 1 4 | 46.35 | 29 |
| 1 0 5 | 49.82 | 28 |
| 2 1 3 | 53.84 | 42 |

Crystal structure
```
data_La2Ge4IrPd3
_cell_length_a 4.4211
_cell_length_b 4.4211
_cell_length_c 10.0538
_cell_angle_alpha 90.00
_cell_angle_beta 90.00
_cell_angle_gamma 90.00
_symmetry_space_group_name_H-M 'P 4 m m'
_symmetry_Int_Tables_number 99
_symmetry_space_group_name_Hall 'P 4 -2'
loop_
_atom_site_label
_atom_site_type_symbol
_atom_site_fract_x
_atom_site_fract_y
_atom_site_fract_z
_atom_site_occupancy
La1 La 0.0000 0.0000 0.0000 1
La2 La 0.5000 0.5000 0.4854 1
Ge1 Ge 0.0000 0.0000 0.6102 1
Ge2 Ge 0.0000 0.5000 0.2434 1
Ge3 Ge 0.5000 0.5000 0.8672 1
Ir1 Ir 0.0000 0.0000 0.3658 1
Pd1 Pd 0.0000 0.5000 0.7414 1
Pd2 Pd 0.5000 0.5000 0.1156 1
```